No. 1
Diffraction record for CrNi2N3. The PXRD pattern is theoretical, not measured: it uses the GGA-PBE geometry in the Materials Project and λ = 1.5418 Å (Cu Kα).
Peak positions follow from Bragg's law for the DFT cell and can differ from measured ones.

Cell: 5.0340 5.0340 5.3123 Å, 90.00 90.00 60.76°
Sites, in units of the cell vectors:
1 Cr 0.1650 0.8350 0.5000
2 Cr 0.8350 0.1650 0.0000
3 Ni 0.1682 0.5366 0.0700
4 Ni 0.4634 0.8318 0.0700
5 Ni 0.5366 0.1682 0.5700
6 Ni 0.8318 0.4634 0.5700
7 N 0.1609 0.8391 0.8494
8 N 0.1707 0.4868 0.4269
9 N 0.4868 0.1707 0.9269
10 N 0.5132 0.8293 0.4269
11 N 0.8293 0.5132 0.9269
12 N 0.8391 0.1609 0.3494

Peak list (10 most intense, 2θ = 10–90°, by angle)
two_theta	I (rel.)
26.33	13
33.74	53
35.26	30
35.67	33
39.24	39
39.63	100
49.60	13
63.54	22
64.33	34
73.92	15

No. 2
Diffraction record for Rb2InSbI6. The PXRD pattern is theoretical, not measured: it uses the GGA-PBE geometry in the Materials Project and λ = 1.5418 Å (Cu Kα).
Peak positions follow from Bragg's law for the DFT cell and can differ from measured ones.

Cell: 8.8437 8.8437 8.8437 Å, 60.00 60.00 60.00°
Sites, in units of the cell vectors:
1 Rb 0.2500 0.2500 0.2500
2 Rb 0.7500 0.7500 0.7500
3 In 0.0000 0.0000 0.0000
4 Sb 0.5000 0.5000 0.5000
5 I 0.2568 0.2568 0.7432
6 I 0.2568 0.7432 0.2568
7 I 0.2568 0.7432 0.7432
8 I 0.7432 0.2568 0.2568
9 I 0.7432 0.2568 0.7432
10 I 0.7432 0.7432 0.2568

Peak list (10 most intense, 2θ = 10–90°, by angle)
two_theta	I (rel.)
14.16	40
24.66	68
28.55	100
32.00	21
40.81	75
48.27	31
50.56	26
65.01	13
66.92	33
74.31	24

No. 3
Diffraction record for MgMoW2Se2S4. The PXRD pattern is theoretical, not measured: it uses the GGA-PBE geometry in the Materials Project and λ = 1.5418 Å (Cu Kα).
Peak positions follow from Bragg's law for the DFT cell and can differ from measured ones.

Cell: 3.2256 3.2256 29.8280 Å, 90.00 90.00 60.00°
Sites, in units of the cell vectors:
1 Mg 0.0000 0.0000 0.0000
2 Mo 0.0594 0.9318 0.5046
3 W 0.3928 0.2652 0.2732
4 W 0.3928 0.2652 0.7360
5 Se 0.3927 0.2652 0.4474
6 Se 0.3927 0.2652 0.5619
7 S 0.0595 0.9319 0.2209
8 S 0.0595 0.9319 0.3255
9 S 0.0595 0.9319 0.6838
10 S 0.0594 0.9319 0.7883

Peak list (10 most intense, 2θ = 10–90°, by angle)
two_theta	I (rel.)
11.87	100
14.85	13
32.04	23
32.61	13
34.28	17
36.91	34
38.54	31
44.43	15
46.68	26
57.13	16

No. 4
Diffraction record for Sm10Se19. The PXRD pattern is theoretical, not measured: it uses the GGA-PBE geometry in the Materials Project and λ = 1.5418 Å (Cu Kα).
Peak positions follow from Bragg's law for the DFT cell and can differ from measured ones.

Cell: 9.2400 9.2400 16.8941 Å, 90.00 90.00 90.00°
Sites, in units of the cell vectors:
1 Sm 0.0430 0.3476 0.1195
2 Sm 0.0530 0.3529 0.6064
3 Sm 0.1471 0.0530 0.8936
4 Sm 0.1524 0.0430 0.3805
5 Sm 0.2500 0.7500 0.1170
6 Sm 0.2500 0.7500 0.6170
7 Sm 0.3476 0.4570 0.3805
8 Sm 0.3529 0.4470 0.8936
9 Sm 0.4470 0.1471 0.6064
10 Sm 0.4570 0.1524 0.1195
11 Sm 0.5430 0.8476 0.8805
12 Sm 0.5530 0.8529 0.3936
13 Sm 0.6471 0.5530 0.1064
14 Sm 0.6524 0.5430 0.6195
15 Sm 0.7500 0.2500 0.3830
16 Sm 0.7500 0.2500 0.8830
17 Sm 0.8476 0.9570 0.6195
18 Sm 0.8529 0.9470 0.1064
19 Sm 0.9470 0.6471 0.3936
20 Sm 0.9570 0.6524 0.8805
21 Se 0.0295 0.8267 0.2500
22 Se 0.0489 0.3476 0.4296
23 Se 0.0526 0.3505 0.9371
24 Se 0.0632 0.8796 0.7507
25 Se 0.1204 0.5632 0.2507
26 Se 0.1495 0.0526 0.5629
27 Se 0.1524 0.0489 0.0704
28 Se 0.1733 0.5295 0.7500
29 Se 0.2500 0.2500 0.2500
30 Se 0.2500 0.7500 0.4360
31 Se 0.2500 0.7500 0.9360
32 Se 0.3267 0.9705 0.7500
33 Se 0.3476 0.4511 0.0704
34 Se 0.3505 0.4474 0.5629
35 Se 0.3796 0.9368 0.2507
36 Se 0.4368 0.6204 0.7507
37 Se 0.4474 0.1495 0.9371
38 Se 0.4511 0.1524 0.4296
39 Se 0.4705 0.6733 0.2500
40 Se 0.5295 0.3267 0.7500
41 Se 0.5489 0.8476 0.5704
42 Se 0.5526 0.8505 0.0629
43 Se 0.5632 0.3796 0.2493
44 Se 0.6204 0.0632 0.7493
45 Se 0.6495 0.5526 0.4371
46 Se 0.6524 0.5489 0.9296
47 Se 0.6733 0.0295 0.2500
48 Se 0.7500 0.2500 0.0640
49 Se 0.7500 0.2500 0.5640
50 Se 0.7500 0.7500 0.7500
51 Se 0.8267 0.4705 0.2500
52 Se 0.8476 0.9511 0.9296
53 Se 0.8505 0.9474 0.4371
54 Se 0.8796 0.4368 0.7493
55 Se 0.9368 0.1204 0.2493
56 Se 0.9474 0.6495 0.0629
57 Se 0.9511 0.6524 0.5704
58 Se 0.9705 0.1733 0.7500

Peak list (10 most intense, 2θ = 10–90°, by angle)
two_theta	I (rel.)
23.97	53
30.60	50
31.78	32
32.42	63
37.43	100
38.70	64
43.82	57
55.14	23
59.87	35
63.68	23

No. 5
Diffraction record for NdH3S2O9. The PXRD pattern is theoretical, not measured: it uses the GGA-PBE geometry in the Materials Project and λ = 1.5418 Å (Cu Kα).
Peak positions follow from Bragg's law for the DFT cell and can differ from measured ones.

Cell: 8.8158 7.0443 10.8868 Å, 90.00 90.83 90.00°
Sites, in units of the cell vectors:
1 Nd 0.0575 0.1683 0.3479
2 Nd 0.0575 0.3317 0.8479
3 Nd 0.9425 0.6683 0.1521
4 Nd 0.9425 0.8317 0.6521
5 H 0.3538 0.5606 0.6511
6 H 0.3538 0.9394 0.1511
7 H 0.4093 0.7086 0.1336
8 H 0.4093 0.7914 0.6336
9 H 0.4678 0.1085 0.8781
10 H 0.4678 0.3915 0.3781
11 H 0.5322 0.6085 0.6219
12 H 0.5322 0.8915 0.1219
13 H 0.5907 0.2086 0.3664
14 H 0.5907 0.2914 0.8664
15 H 0.6462 0.0606 0.8489
16 H 0.6462 0.4394 0.3489
17 S 0.1836 0.6624 0.3881
18 S 0.1836 0.8376 0.8881
19 S 0.2727 0.1537 0.5832
20 S 0.2727 0.3463 0.0832
21 S 0.7273 0.6537 0.9168
22 S 0.7273 0.8463 0.4168
23 S 0.8164 0.1624 0.1119
24 S 0.8164 0.3376 0.6119
25 O 0.0954 0.5080 0.3189
26 O 0.0954 0.9920 0.8189
27 O 0.1185 0.0621 0.5608
28 O 0.1185 0.4379 0.0608
29 O 0.1223 0.6744 0.5136
30 O 0.1223 0.8256 0.0136
31 O 0.1430 0.6641 0.8112
32 O 0.1430 0.8359 0.3112
33 O 0.2545 0.1927 0.1770
34 O 0.2545 0.3073 0.6770
35 O 0.3049 0.2388 0.4606
36 O 0.3049 0.2612 0.9606
37 O 0.3453 0.6271 0.3894
38 O 0.3453 0.8729 0.8894
39 O 0.3841 0.0123 0.6223
40 O 0.3841 0.4877 0.1223
41 O 0.4367 0.6552 0.6595
42 O 0.4367 0.8448 0.1595
43 O 0.5633 0.1552 0.8405
44 O 0.5633 0.3448 0.3405
45 O 0.6159 0.5123 0.8777
46 O 0.6159 0.9877 0.3777
47 O 0.6547 0.1271 0.1106
48 O 0.6547 0.3729 0.6106
49 O 0.6951 0.7388 0.0394
50 O 0.6951 0.7612 0.5394
51 O 0.7455 0.6927 0.3230
52 O 0.7455 0.8073 0.8230
53 O 0.8570 0.1641 0.6888
54 O 0.8570 0.3359 0.1888
55 O 0.8777 0.1744 0.9864
56 O 0.8777 0.3256 0.4864
57 O 0.8815 0.5621 0.9392
58 O 0.8815 0.9379 0.4392
59 O 0.9046 0.0080 0.1811
60 O 0.9046 0.4920 0.6811

Peak list (10 most intense, 2θ = 10–90°, by angle)
two_theta	I (rel.)
10.03	100
22.88	11
25.29	11
25.83	24
28.45	35
29.16	33
32.91	11
40.77	11
47.33	11
50.54	13

No. 6
Diffraction record for ErB4Rh7. The PXRD pattern is theoretical, not measured: it uses the GGA-PBE geometry in the Materials Project and λ = 1.5418 Å (Cu Kα).
Peak positions follow from Bragg's law for the DFT cell and can differ from measured ones.

Cell: 2.9109 9.6216 5.5473 Å, 90.00 90.00 90.00°
Sites, in units of the cell vectors:
1 Er 0.0000 0.0000 0.0000
2 B 0.0000 0.1671 0.4996
3 B 0.0000 0.3340 0.0003
4 B 0.0000 0.6660 0.0003
5 B 0.0000 0.8329 0.4996
6 Rh 0.0000 0.5000 0.4997
7 Rh 0.5000 0.0000 0.4963
8 Rh 0.5000 0.2483 0.7522
9 Rh 0.5000 0.2530 0.2527
10 Rh 0.5000 0.5000 0.9942
11 Rh 0.5000 0.7470 0.2527
12 Rh 0.5000 0.7517 0.7522

Peak list (10 most intense, 2θ = 10–90°, by angle)
two_theta	I (rel.)
30.72	8
36.07	61
37.41	100
45.14	39
49.16	16
60.02	28
66.62	12
67.46	13
76.52	24
78.98	13

No. 7
Diffraction record for RbI3. The PXRD pattern is theoretical, not measured: it uses the GGA-PBE geometry in the Materials Project and λ = 1.5418 Å (Cu Kα).
Peak positions follow from Bragg's law for the DFT cell and can differ from measured ones.

Cell: 11.0198 6.9946 10.1156 Å, 90.00 90.00 90.00°
Sites, in units of the cell vectors:
1 Rb 0.1720 0.2500 0.0268
2 Rb 0.3280 0.7500 0.5268
3 Rb 0.6720 0.2500 0.4732
4 Rb 0.8280 0.7500 0.9732
5 I 0.0719 0.7500 0.2660
6 I 0.1291 0.2500 0.5494
7 I 0.1618 0.7500 0.8559
8 I 0.3382 0.2500 0.3559
9 I 0.3709 0.7500 0.0494
10 I 0.4281 0.2500 0.7660
11 I 0.5719 0.7500 0.2340
12 I 0.6291 0.2500 0.9506
13 I 0.6618 0.7500 0.6441
14 I 0.8382 0.2500 0.1441
15 I 0.8709 0.7500 0.4506
16 I 0.9281 0.2500 0.7340

Peak list (10 most intense, 2θ = 10–90°, by angle)
two_theta	I (rel.)
17.39	18
22.34	31
23.15	39
25.47	73
27.12	100
31.10	18
32.74	28
40.61	18
45.91	23
52.30	19